Starting from a PBE-relaxed structure, the powder diffraction line list of PbCl2 was computed for copper Kα.
Kinematic intensities with the Lorentz-polarization factor, no thermal factor.

Principal peaks in the range 2θ = 5–70°, by angle:
2θ = 21.0°, I = 1000; 2θ = 22.7°, I = 987; 2θ = 24.4°, I = 338; 2θ = 25.5°, I = 298; 2θ = 29.8°, I = 399; 2θ = 32.4°, I = 740; 2θ = 35.6°, I = 364; 2θ = 36.0°, I = 997; 2θ = 44.6°, I = 355; 2θ = 48.0°, I = 290

Unit cell a=10.0690 b=4.2440 c=15.6256 alpha=90.00 beta=90.18 gamma=90.00
Sites, in units of the cell vectors:
Pb  0.1539  0.2463  0.4053
Pb  0.1539  0.2537  0.9053
Pb  0.3452  0.2183  0.6556
Pb  0.3452  0.2817  0.1556
Pb  0.6548  0.7183  0.8444
Pb  0.6548  0.7817  0.3444
Pb  0.8461  0.7463  0.0947
Pb  0.8461  0.7537  0.5947
Cl  0.0527  0.2498  0.0832
Cl  0.0527  0.2502  0.5832
Cl  0.1922  0.7472  0.7481
Cl  0.1922  0.7528  0.2481
Cl  0.3060  0.7432  0.9976
Cl  0.3060  0.7568  0.4976
Cl  0.4476  0.2362  0.8335
Cl  0.4476  0.2638  0.3335
Cl  0.5524  0.7362  0.6665
Cl  0.5524  0.7638  0.1665
Cl  0.6940  0.2432  0.5024
Cl  0.6940  0.2568  0.0024
Cl  0.8078  0.2472  0.7519
Cl  0.8078  0.2528  0.2519
Cl  0.9473  0.7498  0.4168
Cl  0.9473  0.7502  0.9168